# 1
Theoretical X-ray diffraction stick pattern
Compound: BiAuO2
Radiation: a wavelength of 1.5418 Å
Structure: a crystal structure in the Materials Project, relaxed with GGA-PBE

Crystal structure
Cell: 6.551 3.684 6.701 Å, 90.00 115.78 90.00°
Element x y z (fractional)
Bi 0.064 0.250 0.266
Bi 0.936 0.750 0.734
Au 0.472 0.250 0.807
Au 0.528 0.750 0.193
O 0.126 0.250 0.689
O 0.184 0.750 0.093
O 0.816 0.250 0.907
O 0.874 0.750 0.311

Principal peaks in the range 10 to 90 degrees two-theta, low angle first:
27.28°, 3.269 Å, I 25; 28.99°, 3.080 Å, I 100; 29.61°, 3.017 Å, I 44; 30.30°, 2.949 Å, I 33; 31.90°, 2.805 Å, I 18; 35.25°, 2.546 Å, I 52; 36.31°, 2.474 Å, I 18; 47.81°, 1.903 Å, I 15; 49.53°, 1.841 Å, I 40; 58.73°, 1.572 Å, I 16

---

# 2
Theoretical X-ray diffraction stick pattern
Compound: CuPdO3
Radiation: a wavelength of 1.5418 Å
Structure: a crystal structure in the Materials Project, relaxed with GGA-PBE

Crystal structure
Cell: 3.793 3.793 3.793 Å, 90.00 90.00 90.00°
Element x y z (fractional)
Cu 0.000 0.000 0.000
Pd 0.500 0.500 0.500
O 0.000 0.000 0.500
O 0.000 0.500 0.000
O 0.500 0.000 0.000

Principal peaks in the range 10 to 90 degrees two-theta, low angle first:
23.45°, 3.793 Å, I 2; 33.41°, 2.682 Å, I 100; 41.22°, 2.190 Å, I 11; 47.97°, 1.897 Å, I 34; 54.06°, 1.696 Å, I 1; 59.71°, 1.549 Å, I 37; 70.18°, 1.341 Å, I 19; 79.99°, 1.199 Å, I 16; 84.77°, 1.144 Å, I 3; 89.51°, 1.095 Å, I 7

---

# 3
Theoretical X-ray diffraction stick pattern
Compound: Sr2ZrTiO6
Radiation: a wavelength of 1.5418 Å
Structure: a crystal structure in the Materials Project, relaxed with GGA-PBE

Crystal structure
Cell: 5.749 5.749 5.749 Å, 120.34 120.34 89.41°
Element x y z (fractional)
Sr 0.250 0.750 0.500
Sr 0.750 0.250 0.500
Zr 0.000 0.000 0.000
Ti 0.500 0.500 0.000
O 0.222 0.705 0.927
O 0.258 0.258 0.000
O 0.295 0.222 0.517
O 0.705 0.778 0.483
O 0.742 0.742 0.000
O 0.778 0.295 0.073

Principal peaks in the range 10 to 90 degrees two-theta, low angle first:
31.11°, 2.875 Å, I 100; 31.28°, 2.860 Å, I 53; 38.42°, 2.343 Å, I 12; 44.34°, 2.043 Å, I 20; 44.82°, 2.022 Å, I 36; 55.26°, 1.662 Å, I 21; 55.56°, 1.654 Å, I 41; 64.88°, 1.437 Å, I 21; 74.10°, 1.280 Å, I 17; 82.30°, 1.172 Å, I 10

---

# 4
Theoretical X-ray diffraction stick pattern
Compound: Li3NbS4
Radiation: a wavelength of 1.5418 Å
Structure: a crystal structure in the Materials Project, relaxed with GGA-PBE

Crystal structure
Cell: 8.966 8.966 8.966 Å, 109.47 109.47 109.47°
Element x y z (fractional)
Li 0.000 0.239 0.499
Li 0.000 0.499 0.239
Li 0.239 0.000 0.499
Li 0.239 0.499 0.000
Li 0.260 0.761 0.761
Li 0.499 0.000 0.239
Li 0.499 0.239 0.000
Li 0.501 0.501 0.740
Li 0.501 0.740 0.501
Li 0.740 0.501 0.501
Li 0.761 0.260 0.761
Li 0.761 0.761 0.260
Nb 0.000 0.000 0.718
Nb 0.000 0.718 0.000
Nb 0.282 0.282 0.282
Nb 0.718 0.000 0.000
S 0.000 0.000 0.228
S 0.000 0.228 0.000
S 0.000 0.515 0.755
S 0.000 0.755 0.515
S 0.228 0.000 0.000
S 0.241 0.485 0.485
S 0.245 0.245 0.759
S 0.245 0.759 0.245
S 0.485 0.241 0.485
S 0.485 0.485 0.241
S 0.515 0.000 0.755
S 0.515 0.755 0.000
S 0.755 0.000 0.515
S 0.755 0.515 0.000
S 0.759 0.245 0.245
S 0.772 0.772 0.772

Principal peaks in the range 10 to 90 degrees two-theta, low angle first:
12.09°, 7.321 Å, I 78; 21.02°, 4.227 Å, I 94; 27.24°, 3.274 Å, I 30; 32.35°, 2.767 Å, I 17; 34.66°, 2.588 Å, I 100; 36.83°, 2.440 Å, I 22; 48.14°, 1.890 Å, I 35; 49.82°, 1.830 Å, I 60; 62.11°, 1.494 Å, I 18; 83.52°, 1.158 Å, I 20

---

# 5
Theoretical X-ray diffraction stick pattern
Compound: La4Ti9Si4O30
Radiation: a wavelength of 1.5418 Å
Structure: a crystal structure in the Materials Project, relaxed with GGA-PBE

Crystal structure
Cell: 7.454 7.454 15.296 Å, 109.36 109.36 45.63°
Element x y z (fractional)
La 0.108 0.108 0.314
La 0.387 0.387 0.308
La 0.613 0.613 0.692
La 0.892 0.892 0.686
Ti 0.000 0.000 0.500
Ti 0.067 0.597 0.890
Ti 0.096 0.096 0.881
Ti 0.403 0.933 0.110
Ti 0.440 0.440 0.117
Ti 0.560 0.560 0.883
Ti 0.597 0.067 0.890
Ti 0.904 0.904 0.119
Ti 0.933 0.403 0.110
Si 0.242 0.242 0.678
Si 0.370 0.370 0.534
Si 0.630 0.630 0.466
Si 0.758 0.758 0.322
O 0.034 0.511 0.739
O 0.078 0.078 0.134
O 0.117 0.117 0.618
O 0.132 0.637 0.025
O 0.211 0.679 0.567
O 0.213 0.711 0.216
O 0.230 0.230 0.880
O 0.279 0.279 0.134
O 0.289 0.787 0.784
O 0.297 0.297 0.426
O 0.308 0.308 0.608
O 0.321 0.789 0.433
O 0.363 0.868 0.975
O 0.427 0.427 0.884
O 0.489 0.966 0.261
O 0.511 0.034 0.739
O 0.573 0.573 0.116
O 0.637 0.132 0.025
O 0.679 0.211 0.567
O 0.692 0.692 0.392
O 0.703 0.703 0.574
O 0.711 0.213 0.216
O 0.721 0.721 0.866
O 0.770 0.770 0.120
O 0.787 0.289 0.784
O 0.789 0.321 0.433
O 0.868 0.363 0.975
O 0.883 0.883 0.382
O 0.922 0.922 0.866
O 0.966 0.489 0.261

Principal peaks in the range 10 to 90 degrees two-theta, low angle first:
12.40°, 7.136 Å, I 49; 17.05°, 5.200 Å, I 35; 18.79°, 4.722 Å, I 36; 27.83°, 3.206 Å, I 35; 28.41°, 3.141 Å, I 91; 30.45°, 2.936 Å, I 100; 30.93°, 2.891 Å, I 40; 31.34°, 2.854 Å, I 62; 44.62°, 2.031 Å, I 45; 53.33°, 1.718 Å, I 39

---

# 6
Theoretical X-ray diffraction stick pattern
Compound: MgSn2
Radiation: a wavelength of 1.5418 Å
Structure: a crystal structure in the Materials Project, relaxed with GGA-PBE

Crystal structure
Cell: 12.884 3.313 7.508 Å, 90.00 104.18 90.00°
Element x y z (fractional)
Mg 0.139 0.000 0.029
Mg 0.361 0.500 0.971
Mg 0.639 0.500 0.029
Mg 0.861 0.000 0.971
Sn 0.027 0.500 0.294
Sn 0.198 0.000 0.647
Sn 0.302 0.500 0.353
Sn 0.473 0.000 0.706
Sn 0.527 0.000 0.294
Sn 0.698 0.500 0.647
Sn 0.802 0.000 0.353
Sn 0.973 0.500 0.706

Principal peaks in the range 10 to 90 degrees two-theta, low angle first:
12.16°, 7.279 Å, I 70; 24.46°, 3.640 Å, I 29; 31.21°, 2.865 Å, I 44; 32.90°, 2.723 Å, I 78; 33.90°, 2.645 Å, I 55; 34.60°, 2.592 Å, I 100; 36.18°, 2.483 Å, I 93; 37.05°, 2.426 Å, I 40; 55.70°, 1.650 Å, I 34; 58.78°, 1.571 Å, I 27

---

# 7
Theoretical X-ray diffraction stick pattern
Compound: Zr3Co
Radiation: a wavelength of 1.5418 Å
Structure: a crystal structure in the Materials Project, relaxed with GGA-PBE

Crystal structure
Cell: 3.268 10.797 9.054 Å, 90.00 90.00 90.00°
Element x y z (fractional)
Zr 0.000 0.083 0.250
Zr 0.000 0.365 0.056
Zr 0.000 0.365 0.444
Zr 0.000 0.635 0.556
Zr 0.000 0.635 0.944
Zr 0.000 0.917 0.750
Zr 0.500 0.135 0.556
Zr 0.500 0.135 0.944
Zr 0.500 0.417 0.750
Zr 0.500 0.583 0.250
Zr 0.500 0.865 0.056
Zr 0.500 0.865 0.444
Co 0.000 0.224 0.750
Co 0.000 0.776 0.250
Co 0.500 0.276 0.250
Co 0.500 0.724 0.750

Principal peaks in the range 10 to 90 degrees two-theta, low angle first:
33.19°, 2.699 Å, I 26; 34.03°, 2.634 Å, I 76; 34.68°, 2.587 Å, I 26; 34.86°, 2.573 Å, I 100; 38.52°, 2.337 Å, I 75; 38.84°, 2.318 Å, I 21; 41.58°, 2.172 Å, I 32; 42.36°, 2.134 Å, I 36; 59.81°, 1.546 Å, I 25; 64.25°, 1.450 Å, I 29

---

# 8
Theoretical X-ray diffraction stick pattern
Compound: Ba2HoSbO6
Radiation: a wavelength of 1.5418 Å
Structure: a crystal structure in the Materials Project, relaxed with GGA-PBE

Crystal structure
Cell: 6.014 6.014 6.014 Å, 60.00 60.00 60.00°
Element x y z (fractional)
Ba 0.250 0.250 0.250
Ba 0.750 0.750 0.750
Ho 0.000 0.000 0.000
Sb 0.500 0.500 0.500
O 0.263 0.263 0.737
O 0.263 0.737 0.263
O 0.263 0.737 0.737
O 0.737 0.263 0.263
O 0.737 0.263 0.737
O 0.737 0.737 0.263

Principal peaks in the range 10 to 90 degrees two-theta, low angle first:
20.89°, 4.252 Å, I 1; 29.71°, 3.007 Å, I 100; 34.99°, 2.564 Å, I 1; 36.60°, 2.455 Å, I 1; 42.52°, 2.126 Å, I 29; 52.73°, 1.736 Å, I 41; 61.70°, 1.503 Å, I 18; 69.96°, 1.345 Å, I 18; 77.81°, 1.228 Å, I 6; 85.43°, 1.136 Å, I 22